Record 1
# Sr2Sn3BiAu4
Simulated XRD peak list, Cu Kα, 1.54184 Å. Input: a cell relaxed with GGA-PBE.
Peak positions follow from Bragg's law for the DFT cell and can differ from measured ones.

Unit cell a=4.809 b=4.809 c=11.568 alpha=90.00 beta=90.00 gamma=90.00
Space group P-4m2 (No. 115)
One atom of each set of equivalent atoms:
Sr  0.000  0.500  0.232
Sn  0.000  0.500  0.877
Sn  0.500  0.500  0.500
Bi  0.000  0.000  0.500
Au  0.000  0.000  0.000
Au  0.000  0.500  0.646
Au  0.500  0.500  0.000

Most intense lines, 2θ from 10° to 90°, low angle first:
2θ/deg	I/Imax
15.3	26
20.0	28
29.7	28
30.5	100
37.4	70
41.0	62
43.4	20
53.9	25
63.2	26
69.9	27

---

Record 2
# Ac3GaP2Pd9
Simulated XRD peak list, Cu Kα, 1.54184 Å. Input: a cell relaxed with GGA-PBE.
Peak positions follow from Bragg's law for the DFT cell and can differ from measured ones.

Unit cell a=6.4459 b=6.4459 c=8.8424 alpha=90.00 beta=90.00 gamma=120.00
Space group P-3m1 (No. 164)
One atom of each set of equivalent atoms:
Ac  0.0000  0.0000  0.0000
Ac  0.3333  0.6667  0.6439
Ga  0.0000  0.0000  0.5000
P  0.3333  0.6667  0.1689
Pd  0.0000  0.5000  0.0000
Pd  0.1516  0.3033  0.2900

Most intense lines, 2θ from 10° to 90°, low angle first:
2θ/deg	I/Imax
25.7	24
27.7	18
30.3	33
33.7	100
38.1	93
44.1	14
52.8	24
57.2	30
66.1	20
70.8	14

---

Record 3
# Nd3Al9Ga2
Simulated XRD peak list, Cu Kα, 1.54184 Å. Input: a cell relaxed with GGA-PBE.
Peak positions follow from Bragg's law for the DFT cell and can differ from measured ones.

Unit cell a=4.386 b=10.063 c=12.980 alpha=90.00 beta=90.00 gamma=90.00
Space group Immm (No. 71)
One atom of each set of equivalent atoms:
Nd  0.000  0.000  0.000
Nd  0.000  0.000  0.318
Al  0.000  0.273  0.140
Al  0.000  0.370  0.336
Al  0.000  0.500  0.000
Ga  0.000  0.216  0.500

Most intense lines, 2θ from 10° to 90°, low angle first:
2θ/deg	I/Imax
22.1	40
22.4	35
29.0	17
33.6	23
33.8	32
34.1	100
41.2	23
41.8	17
54.3	16
63.1	17